No. 1
Calculated X-ray powder pattern of Ti5Ni2Ge for Cu Kα (weighted mean of Kα1 and Kα2), from a PBE-relaxed structure.
Peak positions follow from Bragg's law for the DFT cell and can differ from measured ones.

Structure:
```
Ti5Ni2Ge
1.0
-3.1153 3.1153 6.3149
3.1153 -3.1153 6.3149
3.1153 3.1153 -6.3149
Ti Ni Ge
10 4 2
Cartesian
0.0000 0.0000 0.0000
4.0874 0.9721 -1.9512
0.9721 2.1433 -1.9512
4.0874 0.9721 1.9512
0.9721 2.1433 1.9512
0.0000 0.0000 6.3149
2.1433 0.9721 4.3638
-0.9721 2.1433 4.3638
2.1433 0.9721 8.2661
-0.9721 2.1433 8.2661
2.2774 0.8379 0.0000
2.2774 -0.8379 6.3149
0.8379 3.9532 0.0000
0.8379 2.2774 6.3149
0.0000 0.0000 3.1575
0.0000 0.0000 9.4724
```

Largest 12 diffraction maxima, sorted by position, 2θ from 10° to 90°:
24.6 deg, d = 3.613 Å, rel. 12; 35.0 deg, d = 2.566 Å, rel. 14; 38.8 deg, d = 2.324 Å, rel. 100; 40.7 deg, d = 2.218 Å, rel. 20; 41.0 deg, d = 2.203 Å, rel. 9; 43.0 deg, d = 2.105 Å, rel. 12; 46.1 deg, d = 1.970 Å, rel. 46; 47.9 deg, d = 1.899 Å, rel. 9; 54.9 deg, d = 1.672 Å, rel. 9; 76.0 deg, d = 1.253 Å, rel. 17; 77.5 deg, d = 1.232 Å, rel. 8; 87.4 deg, d = 1.116 Å, rel. 11

=====

No. 2
Calculated X-ray powder pattern of Ti2Ni8Ge for Cu Kα (weighted mean of Kα1 and Kα2), from a PBE-relaxed structure.
Peak positions follow from Bragg's law for the DFT cell and can differ from measured ones.

Structure:
```
Ti2Ni8Ge
1.0
-2.0730 2.6294 6.2337
2.0730 -2.6294 6.2337
2.0730 2.6294 -6.2337
Ti Ni Ge
2 8 1
Cartesian
0.0000 0.0000 2.3848
0.0000 0.0000 10.0826
2.0730 1.2304 -1.7560
0.0000 1.2692 0.0000
2.0730 0.0000 3.9936
2.0730 1.2304 1.7560
0.0000 1.3991 4.4777
0.0000 2.6294 2.2401
0.0000 3.9897 0.0000
0.0000 1.3991 7.9897
0.0000 0.0000 6.2337
```

Largest 12 diffraction maxima, sorted by position, 2θ from 10° to 90°:
18.3 deg, d = 4.845 Å, rel. 7; 31.0 deg, d = 2.886 Å, rel. 8; 40.0 deg, d = 2.252 Å, rel. 9; 42.3 deg, d = 2.137 Å, rel. 17; 43.6 deg, d = 2.078 Å, rel. 20; 43.7 deg, d = 2.073 Å, rel. 35; 46.4 deg, d = 1.958 Å, rel. 100; 63.4 deg, d = 1.468 Å, rel. 12; 71.8 deg, d = 1.315 Å, rel. 7; 82.1 deg, d = 1.174 Å, rel. 17; 86.4 deg, d = 1.126 Å, rel. 8; 87.9 deg, d = 1.111 Å, rel. 12

=====

No. 3
Calculated X-ray powder pattern of Ti2NiGe2 for Cu Kα (weighted mean of Kα1 and Kα2), from a PBE-relaxed structure.
Peak positions follow from Bragg's law for the DFT cell and can differ from measured ones.

Structure:
```
Ti2NiGe2
1.0
2.0101 -6.7804 0.0000
2.0101 6.7804 0.0000
0.0000 0.0000 5.7412
Ti Ni Ge
4 2 4
Cartesian
2.0101 6.7283 2.8706
2.0101 4.1010 4.5752
2.0101 -4.1010 1.7046
2.0101 -6.7283 0.0000
2.0101 1.4270 3.7269
2.0101 -1.4270 0.8563
2.0101 4.3827 1.6638
2.0101 0.9648 1.4055
2.0101 -0.9648 4.2761
2.0101 -4.3827 4.5344
```

Largest 12 diffraction maxima, sorted by position, 2θ from 10° to 90°:
30.6 deg, d = 2.919 Å, rel. 18; 31.2 deg, d = 2.871 Å, rel. 35; 33.7 deg, d = 2.662 Å, rel. 14; 33.9 deg, d = 2.643 Å, rel. 19; 39.1 deg, d = 2.302 Å, rel. 44; 40.1 deg, d = 2.248 Å, rel. 100; 41.2 deg, d = 2.191 Å, rel. 14; 43.6 deg, d = 2.075 Å, rel. 69; 45.1 deg, d = 2.010 Å, rel. 50; 51.6 deg, d = 1.770 Å, rel. 16; 63.8 deg, d = 1.460 Å, rel. 16; 81.5 deg, d = 1.181 Å, rel. 16

=====

No. 4
Calculated X-ray powder pattern of Tm3Ni6Ge5 for Cu Kα (weighted mean of Kα1 and Kα2), from a PBE-relaxed structure.
Peak positions follow from Bragg's law for the DFT cell and can differ from measured ones.

Structure:
```
Tm3Ni6Ge5
1.0
3.9702 0.0000 0.0000
0.0000 12.1580 0.0000
0.0000 0.0000 9.1023
Tm Ni Ge
6 12 10
Cartesian
0.9926 0.9331 2.2146
0.9926 5.1459 2.2146
0.9926 9.1185 2.2559
2.9777 3.0395 6.8464
2.9777 7.0121 6.8877
2.9777 11.2249 6.8877
0.9926 0.7202 5.3664
0.9926 3.0395 0.0107
0.9926 3.0395 4.4847
0.9926 5.3588 5.3664
0.9926 7.0975 0.0073
0.9926 11.1395 0.0073
2.9777 1.0185 9.0950
2.9777 5.0605 9.0950
2.9777 6.7992 3.7359
2.9777 9.1185 4.6176
2.9777 9.1185 9.0916
2.9777 11.4378 3.7359
0.9926 1.0286 7.7762
0.9926 5.0504 7.7762
0.9926 7.6830 4.8139
0.9926 9.1185 7.7021
0.9926 10.5540 4.8139
2.9777 1.6040 4.2884
2.9777 3.0395 1.4002
2.9777 4.4750 4.2884
2.9777 7.1076 1.3261
2.9777 11.1294 1.3261
```

Largest 12 diffraction maxima, sorted by position, 2θ from 10° to 90°:
24.0 deg, d = 3.702 Å, rel. 11; 31.5 deg, d = 2.836 Å, rel. 18; 37.0 deg, d = 2.429 Å, rel. 21; 37.3 deg, d = 2.408 Å, rel. 100; 43.7 deg, d = 2.073 Å, rel. 10; 44.7 deg, d = 2.026 Å, rel. 15; 45.7 deg, d = 1.985 Å, rel. 22; 55.3 deg, d = 1.661 Å, rel. 10; 59.6 deg, d = 1.551 Å, rel. 9; 60.2 deg, d = 1.537 Å, rel. 10; 65.9 deg, d = 1.418 Å, rel. 10; 78.9 deg, d = 1.213 Å, rel. 11

=====

No. 5
Calculated X-ray powder pattern of Tm2Ni15Ge2 for Cu Kα (weighted mean of Kα1 and Kα2), from a PBE-relaxed structure.
Peak positions follow from Bragg's law for the DFT cell and can differ from measured ones.

Structure:
```
Tm2Ni15Ge2
1.0
4.1547 2.3987 4.0758
-4.1547 2.3987 4.0758
0.0000 -4.7975 4.0758
Tm Ni Ge
2 15 2
Cartesian
0.0000 0.0000 1.8294
0.0000 0.0000 10.3980
-2.0774 -1.1994 4.0758
0.0000 -2.4026 3.9400
-2.0807 1.2013 3.9400
-1.2627 -2.1871 6.1137
-2.5255 0.0000 6.1137
-2.0807 -1.2013 8.2874
-2.0774 1.1994 8.1516
1.2627 -2.1871 6.1137
0.0000 2.3987 4.0758
-1.2627 2.1871 6.1137
2.0807 1.2013 3.9400
2.5255 0.0000 6.1137
1.2627 2.1871 6.1137
2.0807 -1.2013 8.2874
0.0000 2.4026 8.2874
0.0000 0.0000 4.8223
0.0000 0.0000 7.4051
```

Largest 12 diffraction maxima, sorted by position, 2θ from 10° to 90°:
30.7 deg, d = 2.910 Å, rel. 28; 31.8 deg, d = 2.814 Å, rel. 21; 37.5 deg, d = 2.399 Å, rel. 50; 38.6 deg, d = 2.330 Å, rel. 36; 43.6 deg, d = 2.077 Å, rel. 64; 43.8 deg, d = 2.067 Å, rel. 100; 44.5 deg, d = 2.038 Å, rel. 31; 44.6 deg, d = 2.032 Å, rel. 26; 49.2 deg, d = 1.851 Å, rel. 26; 72.0 deg, d = 1.311 Å, rel. 18; 80.0 deg, d = 1.199 Å, rel. 28; 81.4 deg, d = 1.182 Å, rel. 17

=====

No. 6
Calculated X-ray powder pattern of TmNi2Ge2 for Cu Kα (weighted mean of Kα1 and Kα2), from a PBE-relaxed structure.
Peak positions follow from Bragg's law for the DFT cell and can differ from measured ones.

Structure:
```
TmNi2Ge2
1.0
4.0466 0.0000 0.0000
0.0000 4.0466 0.0000
0.0000 0.0000 9.7550
Tm Ni Ge
2 4 4
Cartesian
0.0000 0.0000 0.0000
2.0233 2.0233 4.8775
0.0000 2.0233 2.4388
0.0000 2.0233 7.3163
2.0233 0.0000 2.4388
2.0233 0.0000 7.3163
0.0000 0.0000 3.6313
0.0000 0.0000 6.1237
2.0233 2.0233 1.2462
2.0233 2.0233 8.5088
```

Largest 12 diffraction maxima, sorted by position, 2θ from 10° to 90°:
23.8 deg, d = 3.738 Å, rel. 13; 31.3 deg, d = 2.861 Å, rel. 31; 35.4 deg, d = 2.535 Å, rel. 98; 36.4 deg, d = 2.468 Å, rel. 100; 44.8 deg, d = 2.023 Å, rel. 65; 52.0 deg, d = 1.757 Å, rel. 29; 58.4 deg, d = 1.581 Å, rel. 46; 65.2 deg, d = 1.431 Å, rel. 21; 66.1 deg, d = 1.414 Å, rel. 19; 71.0 deg, d = 1.327 Å, rel. 23; 76.5 deg, d = 1.246 Å, rel. 10; 77.0 deg, d = 1.238 Å, rel. 21